[1]
# TbPm2GeN4
Simulated powder X-ray diffraction pattern, CuKα. Input: a cell relaxed with GGA-PBE.
Neutral-atom scattering factors, no anomalous dispersion.

Most intense lines, 10 to 90 degrees two-theta, low angle first:
2theta, I (rel.), h k l
27.1, 58, 0 2 3
29.7, 36, 0 0 4
30.2, 100, 1 1 2
31.0, 48, 0 4 0
35.1, 35, 1 3 1
37.5, 72, 1 3 2
43.5, 20, 0 4 4
46.2, 24, 1 1 5
49.4, 21, 1 5 2
51.6, 24, 1 3 5

Crystal structure
```
data_TbPm2GeN4
_cell_length_a 3.5636
_cell_length_b 11.5343
_cell_length_c 12.0360
_cell_angle_alpha 90.00
_cell_angle_beta 90.00
_cell_angle_gamma 90.00
_space_group_name_H-M_alt 'C m c m'
_space_group_IT_number 63
_space_group_name_Hall '-C 2c 2'
loop_
_atom_site_label
_atom_site_fract_x
_atom_site_fract_y
_atom_site_fract_z
Tb1 0.0000 0.1054 0.2500
Pm1 0.0000 0.3694 0.0447
Ge1 0.0000 0.1626 0.7500
N1 0.0000 0.0000 0.0000
N2 0.0000 0.2759 0.6346
N3 0.0000 0.4265 0.2500
```

[2]
# MnCu2Ir
Simulated powder X-ray diffraction pattern, CuKα. Input: a cell relaxed with GGA-PBE.
Neutral-atom scattering factors, no anomalous dispersion.

Most intense lines, 10 to 90 degrees two-theta, low angle first:
2theta, I (rel.), h k l
24.4, 12, 0 0 2
26.6, 33, 1 0 1
33.5, 11, 1 1 0
41.9, 100, 1 1 2
48.1, 33, 2 0 0
50.1, 15, 0 0 4
70.4, 10, 2 2 0
72.0, 19, 2 0 4
85.4, 24, 3 1 2
88.4, 11, 1 1 6

Crystal structure
```
data_MnCu2Ir
_cell_length_a 3.7830
_cell_length_b 3.7830
_cell_length_c 7.2838
_cell_angle_alpha 90.00
_cell_angle_beta 90.00
_cell_angle_gamma 90.00
_space_group_name_H-M_alt 'I -4 m 2'
_space_group_IT_number 119
_space_group_name_Hall 'I -4 -2'
loop_
_atom_site_label
_atom_site_fract_x
_atom_site_fract_y
_atom_site_fract_z
Mn1 0.0000 0.0000 0.0000
Cu1 0.0000 0.0000 0.5000
Cu2 0.0000 0.5000 0.7500
Ir1 0.0000 0.5000 0.2500
```